Theoretical X-ray powder pattern of Zn3Ga2Ag for copper Kα, from DFT lattice parameters and positions (PBE).
Peak positions follow from Bragg's law for the DFT cell and can differ from measured ones.

The 10 most intense peaks (2θ from 15° to 90°), in order of rising 2θ:
d = 2.982 Å, intensity 50; d = 2.642 Å, intensity 22; d = 2.227 Å, intensity 42; d = 2.123 Å, intensity 100; d = 2.098 Å, intensity 53; d = 1.784 Å, intensity 26; d = 1.641 Å, intensity 12; d = 1.293 Å, intensity 16; d = 1.265 Å, intensity 17; d = 1.128 Å, intensity 14

Atomic structure:
Cell lengths 4.515, 4.515, 10.800 Å; angles 97.38, 97.38, 104.38 degrees
Fractional coordinates of all 12 atoms:
Zn1 0.051 0.949 0.750
Zn2 0.190 0.321 0.993
Zn3 0.321 0.190 0.493
Zn4 0.679 0.810 0.507
Zn5 0.810 0.679 0.007
Zn6 0.949 0.051 0.250
Ga1 0.098 0.612 0.389
Ga2 0.388 0.902 0.111
Ga3 0.612 0.098 0.889
Ga4 0.902 0.388 0.611
Ag1 0.463 0.537 0.750
Ag2 0.537 0.463 0.250

---

Theoretical X-ray powder pattern of TlGe2O4 for copper Kα, from DFT lattice parameters and positions (PBE).
Peak positions follow from Bragg's law for the DFT cell and can differ from measured ones.

The 10 most intense peaks (2θ from 15° to 90°), in order of rising 2θ:
d = 3.833 Å, intensity 52; d = 3.773 Å, intensity 100; d = 3.410 Å, intensity 41; d = 2.939 Å, intensity 51; d = 2.759 Å, intensity 23; d = 2.742 Å, intensity 24; d = 2.724 Å, intensity 38; d = 2.531 Å, intensity 45; d = 2.015 Å, intensity 28; d = 1.470 Å, intensity 25

Atomic structure:
Cell lengths 5.878, 5.878, 8.373 Å; angles 111.57, 111.57, 60.04 degrees
Fractional coordinates of all 14 atoms:
Tl1 0.000 0.000 0.000
Tl2 0.747 0.747 0.274
Ge1 0.311 0.311 0.936
Ge2 0.370 0.370 0.612
Ge3 0.370 0.855 0.612
Ge4 0.855 0.370 0.612
O1 0.108 0.108 0.772
O2 0.109 0.545 0.772
O3 0.155 0.155 0.490
O4 0.174 0.649 0.495
O5 0.545 0.109 0.772
O6 0.583 0.583 0.759
O7 0.649 0.174 0.495
O8 0.650 0.650 0.495

---

Theoretical X-ray powder pattern of VOsC2 for copper Kα, from DFT lattice parameters and positions (PBE).
Peak positions follow from Bragg's law for the DFT cell and can differ from measured ones.

The 10 most intense peaks (2θ from 15° to 90°), in order of rising 2θ:
d = 4.084 Å, intensity 48; d = 2.640 Å, intensity 100; d = 2.547 Å, intensity 15; d = 2.305 Å, intensity 14; d = 2.278 Å, intensity 27; d = 1.989 Å, intensity 15; d = 1.620 Å, intensity 26; d = 1.611 Å, intensity 13; d = 1.387 Å, intensity 13; d = 1.375 Å, intensity 26

Atomic structure:
Cell lengths 4.556, 4.556, 9.218 Å; angles 90.00, 90.00, 90.00 degrees
Fractional coordinates of all 16 atoms:
V1 0.000 0.000 0.000
V2 0.000 0.500 0.250
V3 0.500 0.000 0.750
V4 0.500 0.500 0.500
Os1 0.000 0.000 0.500
Os2 0.000 0.500 0.750
Os3 0.500 0.000 0.250
Os4 0.500 0.500 0.000
C1 0.246 0.250 0.625
C2 0.250 0.746 0.875
C3 0.250 0.754 0.375
C4 0.254 0.250 0.125
C5 0.746 0.750 0.125
C6 0.750 0.246 0.375
C7 0.750 0.254 0.875
C8 0.754 0.750 0.625

---

Theoretical X-ray powder pattern of Mg3BiRh for copper Kα, from DFT lattice parameters and positions (PBE).
Peak positions follow from Bragg's law for the DFT cell and can differ from measured ones.

The 10 most intense peaks (2θ from 15° to 90°), in order of rising 2θ:
d = 4.002 Å, intensity 48; d = 3.806 Å, intensity 100; d = 3.186 Å, intensity 23; d = 2.493 Å, intensity 43; d = 2.443 Å, intensity 92; d = 2.271 Å, intensity 21; d = 2.163 Å, intensity 19; d = 1.849 Å, intensity 23; d = 1.634 Å, intensity 20; d = 1.469 Å, intensity 18

Atomic structure:
Cell lengths 8.652, 8.005, 3.186 Å; angles 90.00, 90.00, 90.00 degrees
Fractional coordinates of all 10 atoms:
Mg1 0.045 0.234 0.000
Mg2 0.250 0.551 0.000
Mg3 0.455 0.234 0.000
Mg4 0.545 0.766 0.000
Mg5 0.750 0.449 0.000
Mg6 0.955 0.766 0.000
Bi1 0.250 0.959 0.503
Bi2 0.750 0.041 0.503
Rh1 0.000 0.500 0.500
Rh2 0.500 0.500 0.500